This entry pairs a crystal structure of Cr2O5 with its theoretical powder X-ray diffraction pattern. Radiation: a wavelength of 1.5418 Å. Structure: a cell relaxed with PBE+U.
Neutral-atom scattering factors, no anomalous dispersion.

Largest 10 diffraction maxima, by angle, 2θ from 10° to 80°:
| hkl | 2theta | I/Imax |
| --- | --- | --- |
| 1 1 0 | 15.17 | 17 |
| 1 2 0 | 21.40 | 100 |
| 2 0 0 | 25.04 | 18 |
| 2 1 0 | 26.54 | 17 |
| 0 0 1 | 28.68 | 24 |
| 1 1 1 | 32.60 | 14 |
| 1 2 1 | 36.07 | 17 |
| 1 4 0 | 37.37 | 9 |
| 2 1 1 | 39.47 | 18 |
| 2 4 0 | 43.60 | 8 |

Crystal structure
```
Cr2O5
1.0
7.112 0.000 0.000
0.000 10.228 0.000
0.000 0.000 3.112
Cr O
4 10
Direct
0.195 0.107 0.000
0.305 0.607 0.000
0.695 0.393 0.000
0.805 0.893 0.000
0.000 0.000 0.000
0.125 0.255 0.000
0.188 0.573 0.500
0.312 0.073 0.500
0.375 0.755 0.000
0.500 0.500 0.000
0.625 0.245 0.000
0.688 0.927 0.500
0.812 0.427 0.500
0.875 0.745 0.000
```